Record 1
The following is a theoretical powder XRD pattern of Ba2Mg5Tl3. It was derived from a crystal structure in Alexandria, relaxed with GGA-PBE, using copper Kα.
No peak broadening, texture or thermal motion is included.

Largest 6 diffraction maxima, by angle, 2θ from 5° to 70°:
| 2θ/deg | I_rel |
| --- | --- |
| 6.73 | 100.0 |
| 27.27 | 28.6 |
| 29.05 | 38.2 |
| 32.88 | 22.5 |
| 36.52 | 26.0 |
| 38.88 | 22.0 |

Unit cell a=4.921 b=4.921 c=13.126 alpha=90.00 beta=90.00 gamma=90.00
Atoms (fractional coordinates):
Ba1 0.000 0.500 0.240
Ba2 0.500 0.000 0.760
Mg1 0.000 0.000 0.500
Mg2 0.000 0.500 0.637
Mg3 0.500 0.000 0.363
Mg4 0.500 0.500 0.000
Mg5 0.500 0.500 0.500
Tl1 0.000 0.000 0.000
Tl2 0.000 0.500 0.859
Tl3 0.500 0.000 0.141

=====

Record 2
The following is a theoretical powder XRD pattern of CaNd4SmSe8. It was derived from a crystal structure in Alexandria, relaxed with GGA-PBE, using copper Kα.
No peak broadening, texture or thermal motion is included.

Largest 6 diffraction maxima, by angle, 2θ from 5° to 70°:
| 2θ/deg | I_rel |
| --- | --- |
| 12.48 | 41.0 |
| 24.02 | 100.0 |
| 29.07 | 94.8 |
| 38.05 | 56.1 |
| 41.53 | 65.1 |
| 41.63 | 65.2 |

Unit cell a=8.678 b=8.678 c=8.678 alpha=60.15 beta=60.15 gamma=60.15
Atoms (fractional coordinates):
Ca1 0.000 0.000 0.000
Nd1 0.373 0.373 0.881
Nd2 0.373 0.881 0.373
Nd3 0.751 0.751 0.751
Nd4 0.881 0.373 0.373
Sm1 0.373 0.373 0.373
Se1 0.133 0.133 0.133
Se2 0.135 0.135 0.601
Se3 0.135 0.601 0.135
Se4 0.151 0.615 0.615
Se5 0.601 0.135 0.135
Se6 0.615 0.151 0.615
Se7 0.615 0.615 0.151
Se8 0.617 0.617 0.617

=====

Record 3
The following is a theoretical powder XRD pattern of LiNd2PtO5. It was derived from a crystal structure in Alexandria, relaxed with GGA-PBE, using copper Kα.
No peak broadening, texture or thermal motion is included.

Largest 6 diffraction maxima, by angle, 2θ from 5° to 70°:
| 2θ/deg | I_rel |
| --- | --- |
| 18.41 | 88.1 |
| 30.37 | 100.0 |
| 30.66 | 36.5 |
| 33.16 | 53.3 |
| 42.92 | 39.7 |
| 44.82 | 59.6 |

Unit cell a=6.817 b=6.817 c=5.831 alpha=90.00 beta=90.00 gamma=90.00
Atoms (fractional coordinates):
Li1 0.000 0.000 0.000
Li2 0.500 0.500 0.000
Nd1 0.177 0.323 0.500
Nd2 0.323 0.823 0.500
Nd3 0.677 0.177 0.500
Nd4 0.823 0.677 0.500
Pt1 0.000 0.500 0.000
Pt2 0.500 0.000 0.000
O1 0.000 0.000 0.500
O2 0.136 0.636 0.253
O3 0.136 0.636 0.747
O4 0.364 0.136 0.253
O5 0.364 0.136 0.747
O6 0.500 0.500 0.500
O7 0.636 0.864 0.253
O8 0.636 0.864 0.747
O9 0.864 0.364 0.253
O10 0.864 0.364 0.747

=====

Record 4
The following is a theoretical powder XRD pattern of LaDy8Tm3. It was derived from a crystal structure in Alexandria, relaxed with GGA-PBE, using copper Kα.
No peak broadening, texture or thermal motion is included.

Largest 6 diffraction maxima, by angle, 2θ from 5° to 70°:
| 2θ/deg | I_rel |
| --- | --- |
| 28.48 | 23.9 |
| 31.70 | 24.0 |
| 32.68 | 100.0 |
| 50.43 | 19.8 |
| 57.09 | 20.4 |
| 60.81 | 22.6 |

Unit cell a=8.436 b=8.436 c=8.436 alpha=99.86 beta=96.00 gamma=136.40
Atoms (fractional coordinates):
La1 0.000 0.000 0.000
Dy1 0.001 0.337 0.336
Dy2 0.001 0.665 0.664
Dy3 0.088 0.001 0.420
Dy4 0.088 0.668 0.087
Dy5 0.503 0.334 0.831
Dy6 0.503 0.671 0.169
Dy7 0.582 0.001 0.913
Dy8 0.582 0.668 0.580
Tm1 0.083 0.335 0.748
Tm2 0.503 0.003 0.500
Tm3 0.587 0.335 0.252

=====

Record 5
The following is a theoretical powder XRD pattern of Th2Cu3Ge4Ir. It was derived from a crystal structure in Alexandria, relaxed with GGA-PBE, using copper Kα.
No peak broadening, texture or thermal motion is included.

Largest 6 diffraction maxima, by angle, 2θ from 5° to 70°:
| 2θ/deg | I_rel |
| --- | --- |
| 22.65 | 25.8 |
| 34.21 | 56.4 |
| 34.73 | 100.0 |
| 42.31 | 50.0 |
| 50.56 | 21.5 |
| 55.49 | 28.6 |

Unit cell a=4.272 b=4.272 c=9.959 alpha=90.00 beta=90.00 gamma=90.00
Atoms (fractional coordinates):
Th1 0.000 0.500 0.246
Th2 0.500 0.000 0.754
Cu1 0.000 0.000 0.000
Cu2 0.000 0.500 0.628
Cu3 0.500 0.000 0.372
Ge1 0.000 0.000 0.500
Ge2 0.000 0.500 0.868
Ge3 0.500 0.000 0.132
Ge4 0.500 0.500 0.500
Ir1 0.500 0.500 0.000

=====

Record 6
The following is a theoretical powder XRD pattern of LiTl2SnS4. It was derived from a crystal structure in Alexandria, relaxed with GGA-PBE, using copper Kα.
No peak broadening, texture or thermal motion is included.

Largest 6 diffraction maxima, by angle, 2θ from 5° to 70°:
| 2θ/deg | I_rel |
| --- | --- |
| 16.16 | 40.9 |
| 25.29 | 35.2 |
| 27.13 | 100.0 |
| 30.16 | 30.3 |
| 36.07 | 30.8 |
| 45.71 | 50.0 |

Unit cell a=7.043 b=7.043 c=8.750 alpha=90.00 beta=90.00 gamma=90.00
Atoms (fractional coordinates):
Li1 0.000 0.000 0.000
Li2 0.500 0.500 0.500
Tl1 0.000 0.000 0.500
Tl2 0.000 0.500 0.250
Tl3 0.500 0.000 0.750
Tl4 0.500 0.500 0.000
Sn1 0.000 0.500 0.750
Sn2 0.500 0.000 0.250
S1 0.183 0.278 0.900
S2 0.222 0.683 0.600
S3 0.278 0.817 0.100
S4 0.317 0.222 0.400
S5 0.683 0.778 0.400
S6 0.722 0.183 0.100
S7 0.778 0.317 0.600
S8 0.817 0.722 0.900